No. 1
LaCoO3: theoretical powder X-ray diffraction pattern (Cu Kα X-rays), based on a DFT-relaxed cell (GGA+U, the Materials Project).
Peak positions follow from Bragg's law for the DFT cell and can differ from measured ones.

Most intense lines, 2θ from 10° to 90°, in order of rising 2θ:
hkl 1 1 -1, 31.90 deg, I = 51
hkl 1 -2 1, 32.24 deg, I = 99
hkl 0 1 2, 32.62 deg, I = 51
hkl 1 0 -3, 32.83 deg, I = 100
hkl 2 0 2, 46.36 deg, I = 30
hkl 0 2 -4, 46.53 deg, I = 30

Structure:
```
data_LaCoO3
_chemical_formula_sum 'La4 Co4 O12'
_space_group_name_H-M_alt 'P 1'
_space_group_IT_number 1
_cell_length_a 5.548
_cell_length_b 5.558
_cell_length_c 9.402
_cell_angle_alpha 107.10
_cell_angle_beta 90.12
_cell_angle_gamma 119.31
loop_
_space_group_symop_operation_xyz
'x,y,z'
loop_
_atom_site_label
_atom_site_type_symbol
_atom_site_fract_x
_atom_site_fract_y
_atom_site_fract_z
La1 La 0.000 0.000 0.000
La2 La 0.241 0.500 0.754
La3 La 0.501 0.004 0.502
La4 La 0.755 0.503 0.252
Co1 Co 0.128 0.252 0.377
Co2 Co 0.378 0.756 0.128
Co3 Co 0.619 0.251 0.879
Co4 Co 0.869 0.746 0.624
O1 O 0.020 0.580 0.008
O2 O 0.064 0.995 0.498
O3 O 0.197 0.515 0.252
O4 O 0.222 0.925 0.753
O5 O 0.322 0.064 0.248
O6 O 0.430 0.435 0.004
O7 O 0.508 0.570 0.508
O8 O 0.568 0.000 0.000
O9 O 0.678 0.495 0.759
O10 O 0.739 0.929 0.246
O11 O 0.804 0.074 0.753
O12 O 0.929 0.428 0.500
```

=====

No. 2
LaCoPO: theoretical powder X-ray diffraction pattern (Cu Kα X-rays), based on a DFT-relaxed cell (GGA+U, the Materials Project).
Peak positions follow from Bragg's law for the DFT cell and can differ from measured ones.

Most intense lines, 2θ from 10° to 90°, in order of rising 2θ:
hkl 1 0 1, 24.77 deg, I = 58
hkl 1 0 2, 31.15 deg, I = 100
hkl 1 1 2, 38.63 deg, I = 33
hkl 2 0 0, 45.45 deg, I = 41
hkl 1 1 4, 55.09 deg, I = 33
hkl 2 1 2, 56.13 deg, I = 36

Structure:
```
data_LaCoPO
_chemical_formula_sum 'La2 Co2 P2 O2'
_space_group_name_H-M_alt 'P 4/n m m'
_space_group_IT_number 129
_cell_length_a 3.991
_cell_length_b 3.991
_cell_length_c 8.265
_cell_angle_alpha 90.00
_cell_angle_beta 90.00
_cell_angle_gamma 90.00
loop_
_space_group_symop_operation_xyz
'x,y,z'
'-x,-y,-z'
'-y+1/2,x,z'
'y+1/2,-x,-z'
'-x+1/2,-y+1/2,z'
'x+1/2,y+1/2,-z'
'y,-x+1/2,z'
'-y,x+1/2,-z'
'x+1/2,-y,-z'
'-x+1/2,y,z'
'-y,-x,-z'
'y,x,z'
'-x,y+1/2,-z'
'x,-y+1/2,z'
'y+1/2,x+1/2,-z'
'-y+1/2,-x+1/2,z'
loop_
_atom_site_label
_atom_site_type_symbol
_atom_site_fract_x
_atom_site_fract_y
_atom_site_fract_z
La1 La 0.250 0.250 0.153
Co1 Co 0.250 0.750 0.500
P1 P 0.250 0.250 0.618
O1 O 0.250 0.750 0.000
```